(1)
Simulated powder XRD pattern of Pm2Ga3SiIr4 for Cu Kα, 1.54184 Å, from the PBE geometry in Alexandria.
No peak broadening, texture or thermal motion is included.

Atomic structure:
```
Pm2Ga3SiIr4
1.0
4.3053 0.0000 0.0000
0.0000 4.3053 0.0000
0.0000 0.0000 9.9773
Pm Ga Si Ir
2 3 1 4
direct
0.0000 0.5000 0.2414
0.5000 0.0000 0.7586
0.0000 0.5000 0.8707
0.5000 0.0000 0.1293
0.5000 0.5000 0.5000
0.0000 0.0000 0.5000
0.0000 0.0000 0.0000
0.0000 0.5000 0.6208
0.5000 0.0000 0.3792
0.5000 0.5000 0.0000
```

Main lines, low angle first (2θ from 10° to 90°):
2θ 30.71, d 2.912, rel. 44; 2θ 34.06, d 2.632, rel. 81; 2θ 34.51, d 2.599, rel. 100; 2θ 41.97, d 2.153, rel. 85; 2θ 47.10, d 1.929, rel. 37; 2θ 50.43, d 1.810, rel. 32; 2θ 55.12, d 1.666, rel. 41; 2θ 60.86, d 1.522, rel. 29

(2)
Simulated powder XRD pattern of Pm2GaSn3Ir4 for Cu Kα, 1.54184 Å, from the PBE geometry in Alexandria.
No peak broadening, texture or thermal motion is included.

Atomic structure:
```
Pm2GaSn3Ir4
1.0
4.4018 0.0000 0.0000
0.0000 4.4018 0.0000
0.0000 0.0000 10.9015
Pm Ga Sn Ir
2 1 3 4
direct
0.0000 0.5000 0.2464
0.5000 0.0000 0.7536
0.5000 0.5000 0.0000
0.0000 0.0000 0.0000
0.0000 0.5000 0.6341
0.5000 0.0000 0.3659
0.0000 0.0000 0.5000
0.0000 0.5000 0.8712
0.5000 0.0000 0.1288
0.5000 0.5000 0.5000
```

Main lines, low angle first (2θ from 10° to 90°):
2θ 31.94, d 2.802, rel. 62; 2θ 33.14, d 2.703, rel. 100; 2θ 41.01, d 2.201, rel. 75; 2θ 44.17, d 2.050, rel. 44; 2θ 46.48, d 1.954, rel. 31; 2θ 52.90, d 1.731, rel. 30; 2θ 59.39, d 1.556, rel. 26; 2θ 63.69, d 1.461, rel. 24

(3)
Simulated powder XRD pattern of SrPmGa2Ir2 for Cu Kα, 1.54184 Å, from the PBE geometry in Alexandria.
No peak broadening, texture or thermal motion is included.

Atomic structure:
```
SrPmGa2Ir2
1.0
4.3252 0.0000 0.0000
-2.1626 3.7458 0.0000
0.0000 0.0000 8.4000
Sr Pm Ga Ir
1 1 2 2
direct
0.0000 0.0000 0.0000
0.0000 0.0000 0.5000
0.3333 0.6667 0.2669
0.6667 0.3333 0.7331
0.3333 0.6667 0.7184
0.6667 0.3333 0.2816
```

Main lines, low angle first (2θ from 10° to 90°):
2θ 10.53, d 8.400, rel. 19; 2θ 26.05, d 3.421, rel. 25; 2θ 32.01, d 2.796, rel. 100; 2θ 40.21, d 2.243, rel. 13; 2θ 41.77, d 2.163, rel. 56; 2θ 53.57, d 1.711, rel. 26; 2θ 61.55, d 1.507, rel. 25; 2θ 70.15, d 1.342, rel. 20

(4)
Simulated powder XRD pattern of Pr4Ga2Ir for Cu Kα, 1.54184 Å, from the PBE geometry in Alexandria.
No peak broadening, texture or thermal motion is included.

Atomic structure:
```
Pr4Ga2Ir
1.0
16.7601 0.0000 0.0000
0.0000 4.3012 0.0000
-1.9125 0.0000 5.5176
Pr Ga Ir
8 4 2
direct
0.0971 0.0000 0.4992
0.1252 0.5000 0.0262
0.3748 0.0000 0.9738
0.4029 0.5000 0.5008
0.5971 0.5000 0.4992
0.6252 0.0000 0.0262
0.8748 0.5000 0.9738
0.9029 0.0000 0.5008
0.2362 0.5000 0.6270
0.2638 0.0000 0.3730
0.7362 0.0000 0.6270
0.7638 0.5000 0.3730
0.0000 0.0000 0.0000
0.5000 0.5000 0.0000
```

Main lines, low angle first (2θ from 10° to 90°):
2θ 26.74, d 3.334, rel. 35; 2θ 32.45, d 2.759, rel. 61; 2θ 34.18, d 2.624, rel. 47; 2θ 34.64, d 2.590, rel. 100; 2θ 42.01, d 2.151, rel. 34; 2θ 42.81, d 2.113, rel. 27; 2θ 53.16, d 1.723, rel. 26; 2θ 54.07, d 1.696, rel. 31

(5)
Simulated powder XRD pattern of Pr3Ga3Ir2 for Cu Kα, 1.54184 Å, from the PBE geometry in Alexandria.
No peak broadening, texture or thermal motion is included.

Atomic structure:
```
Pr3Ga3Ir2
1.0
2.1414 -5.4681 0.0000
2.1414 5.4681 0.0000
0.0000 0.0000 15.4912
Pr Ga Ir
6 6 4
direct
0.0686 0.9314 0.6077
0.0686 0.9314 0.8923
0.3473 0.6527 0.7500
0.6527 0.3473 0.2500
0.9314 0.0686 0.1077
0.9314 0.0686 0.3923
0.3513 0.6487 0.5342
0.3513 0.6487 0.9658
0.3577 0.6423 0.2500
0.6423 0.3577 0.7500
0.6487 0.3513 0.0342
0.6487 0.3513 0.4658
0.2184 0.7816 0.1099
0.2184 0.7816 0.3901
0.7816 0.2184 0.6099
0.7816 0.2184 0.8901
```

Main lines, low angle first (2θ from 10° to 90°):
2θ 16.21, d 5.468, rel. 37; 2θ 32.22, d 2.778, rel. 100; 2θ 32.78, d 2.732, rel. 55; 2θ 33.27, d 2.693, rel. 38; 2θ 36.75, d 2.445, rel. 97; 2θ 39.96, d 2.256, rel. 38; 2θ 42.20, d 2.141, rel. 48; 2θ 55.76, d 1.649, rel. 30

(6)
Simulated powder XRD pattern of Pr2Ga9Ir6 for Cu Kα, 1.54184 Å, from the PBE geometry in Alexandria.
No peak broadening, texture or thermal motion is included.

Atomic structure:
```
Pr2Ga9Ir6
1.0
5.5558 0.0000 0.0000
-2.7779 4.8115 0.0000
0.0000 0.0000 12.1461
Pr Ga Ir
2 9 6
direct
0.0000 0.0000 0.1641
0.0000 0.0000 0.8359
0.0000 0.5000 0.0000
0.0000 0.5000 0.3396
0.0000 0.5000 0.6604
0.5000 0.0000 0.0000
0.5000 0.0000 0.3396
0.5000 0.0000 0.6604
0.5000 0.5000 0.0000
0.5000 0.5000 0.3396
0.5000 0.5000 0.6604
0.3333 0.6667 0.1729
0.3333 0.6667 0.5000
0.3333 0.6667 0.8271
0.6667 0.3333 0.1729
0.6667 0.3333 0.5000
0.6667 0.3333 0.8271
```

Main lines, low angle first (2θ from 10° to 90°):
2θ 18.44, d 4.811, rel. 32; 2θ 32.22, d 2.778, rel. 46; 2θ 39.33, d 2.291, rel. 100; 2θ 43.77, d 2.068, rel. 24; 2θ 44.77, d 2.024, rel. 18; 2θ 56.23, d 1.636, rel. 19; 2θ 62.26, d 1.491, rel. 26; 2θ 84.62, d 1.145, rel. 17

(7)
Simulated powder XRD pattern of Pr2Ga4Ir3 for Cu Kα, 1.54184 Å, from the PBE geometry in Alexandria.
No peak broadening, texture or thermal motion is included.

Atomic structure:
```
Pr2Ga4Ir3
1.0
0.0000 4.8770 6.4562
2.8002 0.0000 6.4562
2.8002 4.8770 0.0000
Pr Ga Ir
2 4 3
direct
0.1268 0.1268 0.8732
0.8732 0.8732 0.1268
0.1710 0.5146 0.4854
0.4854 0.8290 0.1710
0.5146 0.1710 0.8290
0.8290 0.4854 0.5146
0.0000 0.0000 0.5000
0.5000 0.5000 0.0000
0.5000 0.5000 0.5000
```

Main lines, low angle first (2θ from 10° to 90°):
2θ 13.72, d 6.456, rel. 100; 2θ 27.69, d 3.221, rel. 28; 2θ 36.86, d 2.438, rel. 26; 2θ 37.02, d 2.428, rel. 44; 2θ 38.23, d 2.354, rel. 80; 2θ 39.51, d 2.281, rel. 55; 2θ 39.65, d 2.273, rel. 61; 2θ 42.75, d 2.115, rel. 29

(8)
Simulated powder XRD pattern of Pr2Ga3Ir for Cu Kα, 1.54184 Å, from the PBE geometry in Alexandria.
No peak broadening, texture or thermal motion is included.

Atomic structure:
```
Pr2Ga3Ir
1.0
0.0000 4.5048 7.6893
3.8807 0.0000 7.6893
3.8807 4.5048 0.0000
Pr Ga Ir
4 6 2
direct
0.2390 0.7610 0.7610
0.2500 0.2500 0.2500
0.7500 0.7500 0.7500
0.7610 0.2390 0.2390
0.1640 0.6672 0.3328
0.3291 0.3291 0.6709
0.3328 0.8360 0.1640
0.6672 0.1640 0.8360
0.6709 0.6709 0.3291
0.8360 0.3328 0.6672
0.1627 0.1627 0.8373
0.8373 0.8373 0.1627
```

Main lines, low angle first (2θ from 10° to 90°):
2θ 32.61, d 2.746, rel. 100; 2θ 32.79, d 2.731, rel. 54; 2θ 40.03, d 2.252, rel. 30; 2θ 40.49, d 2.228, rel. 57; 2θ 46.82, d 1.940, rel. 19; 2θ 52.67, d 1.738, rel. 28; 2θ 63.26, d 1.470, rel. 15; 2θ 63.59, d 1.463, rel. 30

(9)
Simulated powder XRD pattern of Pr3Ga2Ir2 for Cu Kα, 1.54184 Å, from the PBE geometry in Alexandria.
No peak broadening, texture or thermal motion is included.

Atomic structure:
```
Pr3Ga2Ir2
1.0
5.7746 0.0000 0.0000
0.0000 8.1249 0.0000
0.0000 0.0000 13.9063
Pr Ga Ir
12 8 8
direct
0.1258 0.2429 0.2500
0.1258 0.2571 0.7500
0.3534 0.6021 0.0989
0.3534 0.6021 0.4011
0.3534 0.8979 0.5989
0.3534 0.8979 0.9011
0.6466 0.1021 0.0989
0.6466 0.1021 0.4011
0.6466 0.3979 0.5989
0.6466 0.3979 0.9011
0.8742 0.7429 0.2500
0.8742 0.7571 0.7500
0.1220 0.2500 0.0000
0.1220 0.2500 0.5000
0.3652 0.6043 0.7500
0.3652 0.8957 0.2500
0.6348 0.1043 0.7500
0.6348 0.3957 0.2500
0.8780 0.7500 0.0000
0.8780 0.7500 0.5000
0.1457 0.5306 0.5917
0.1457 0.5306 0.9083
0.1457 0.9694 0.0917
0.1457 0.9694 0.4083
0.8543 0.0306 0.5917
0.8543 0.0306 0.9083
0.8543 0.4694 0.0917
0.8543 0.4694 0.4083
```

Main lines, low angle first (2θ from 10° to 90°):
2θ 32.00, d 2.796, rel. 30; 2θ 33.17, d 2.701, rel. 35; 2θ 33.56, d 2.670, rel. 28; 2θ 33.94, d 2.641, rel. 45; 2θ 36.65, d 2.452, rel. 50; 2θ 38.36, d 2.346, rel. 100; 2θ 38.86, d 2.318, rel. 35; 2θ 41.67, d 2.167, rel. 27

(10)
Simulated powder XRD pattern of Pr4GaIr2 for Cu Kα, 1.54184 Å, from the PBE geometry in Alexandria.
No peak broadening, texture or thermal motion is included.

Atomic structure:
```
Pr4GaIr2
1.0
2.4448 1.4115 9.3840
-2.4448 1.4115 9.3840
0.0000 -2.8230 9.3840
Pr Ga Ir
4 1 2
direct
0.1174 0.1174 0.1174
0.2952 0.2952 0.2952
0.7048 0.7048 0.7048
0.8826 0.8826 0.8826
0.5000 0.5000 0.5000
0.4072 0.4072 0.4072
0.5928 0.5928 0.5928
```

Main lines, low angle first (2θ from 10° to 90°):
2θ 21.22, d 4.187, rel. 26; 2θ 24.53, d 3.628, rel. 33; 2θ 30.66, d 2.916, rel. 44; 2θ 36.76, d 2.445, rel. 100; 2θ 38.40, d 2.344, rel. 57; 2θ 41.22, d 2.190, rel. 19; 2θ 54.20, d 1.692, rel. 22; 2θ 67.29, d 1.391, rel. 22

(11)
Simulated powder XRD pattern of PrYGaIr for Cu Kα, 1.54184 Å, from the PBE geometry in Alexandria.
No peak broadening, texture or thermal motion is included.

Atomic structure:
```
PrYGaIr
1.0
4.2850 0.0000 0.0000
0.0000 4.1678 0.0000
0.0000 0.0000 10.8195
Pr Y Ga Ir
2 2 2 2
direct
0.0000 0.0000 0.0000
0.0000 0.5000 0.5000
0.5000 0.0000 0.7174
0.5000 0.5000 0.2174
0.5000 0.0000 0.4190
0.5000 0.5000 0.9190
0.0000 0.0000 0.2808
0.0000 0.5000 0.7808
```

Main lines, low angle first (2θ from 10° to 90°):
2θ 31.05, d 2.880, rel. 100; 2θ 32.84, d 2.727, rel. 41; 2θ 33.12, d 2.705, rel. 21; 2θ 39.15, d 2.301, rel. 76; 2θ 39.39, d 2.287, rel. 37; 2θ 42.18, d 2.142, rel. 29; 2θ 43.42, d 2.084, rel. 26; 2θ 60.06, d 1.540, rel. 22

(12)
Simulated powder XRD pattern of PrZnGa3Ir for Cu Kα, 1.54184 Å, from the PBE geometry in Alexandria.
No peak broadening, texture or thermal motion is included.

Atomic structure:
```
PrZnGa3Ir
1.0
3.2523 -5.9035 0.0000
3.2523 5.9035 0.0000
0.0000 0.0000 6.4246
Pr Zn Ga Ir
2 2 6 2
direct
0.2194 0.7806 0.7500
0.7806 0.2194 0.2500
0.4693 0.5307 0.7500
0.5307 0.4693 0.2500
0.2053 0.2053 0.0000
0.2053 0.2053 0.5000
0.3224 0.6776 0.2500
0.6776 0.3224 0.7500
0.7947 0.7947 0.0000
0.7947 0.7947 0.5000
0.1193 0.8807 0.2500
0.8807 0.1193 0.7500
```

Main lines, low angle first (2θ from 10° to 90°):
2θ 27.42, d 3.252, rel. 45; 2θ 27.77, d 3.212, rel. 38; 2θ 29.96, d 2.982, rel. 52; 2θ 31.71, d 2.822, rel. 30; 2θ 38.74, d 2.324, rel. 29; 2θ 39.43, d 2.285, rel. 100; 2θ 43.12, d 2.098, rel. 38; 2θ 56.55, d 1.627, rel. 29

(13)
Simulated powder XRD pattern of PrZnGaIr2 for Cu Kα, 1.54184 Å, from the PBE geometry in Alexandria.
No peak broadening, texture or thermal motion is included.

Atomic structure:
```
PrZnGaIr2
1.0
2.2793 -6.7547 0.0000
2.2793 6.7547 0.0000
0.0000 0.0000 6.3590
Pr Zn Ga Ir
2 2 2 4
direct
0.1111 0.8889 0.7500
0.8889 0.1111 0.2500
0.5000 0.5000 0.0000
0.5000 0.5000 0.5000
0.1815 0.8185 0.2500
0.8185 0.1815 0.7500
0.3180 0.6820 0.5361
0.3180 0.6820 0.9639
0.6820 0.3180 0.0361
0.6820 0.3180 0.4639
```

Main lines, low angle first (2θ from 10° to 90°):
2θ 13.11, d 6.755, rel. 76; 2θ 29.96, d 2.983, rel. 24; 2θ 35.04, d 2.561, rel. 92; 2θ 38.74, d 2.324, rel. 60; 2θ 39.54, d 2.279, rel. 59; 2θ 39.97, d 2.256, rel. 100; 2θ 48.52, d 1.876, rel. 24; 2θ 71.98, d 1.312, rel. 25